No. 1
Starting from a cell relaxed with PBE, the XRD peak list of Er12Pd6Rh was simulated for Cu Ka.
Intensities are scaled so that the largest is 100.

The 8 most intense peaks (5 to 70 degrees two-theta), sorted by position:
(2 1 1), d 3.840, 23.16°, I 48; (3 -2 2), d 3.331, 26.77°, I 77; (2 2 0), d 3.109, 28.72°, I 25; (1 0 4), d 2.798, 31.99°, I 47; (3 1 2), d 2.655, 33.76°, I 66; (2 1 4), d 2.360, 38.13°, I 85; (1 4 0), d 2.350, 38.30°, I 100; (4 -2 6), d 1.641, 56.06°, I 24

Structural model:
a = 12.4355 Å, b = 12.4355 Å, c = 11.5886 Å
α = 90.00°, β = 90.00°, γ = 120.00°
Space group R-3 (No. 148, hexagonal axes)
One atom of each set of equivalent atoms:
Er: 0.0269 0.2100 0.3898
Er: 0.0397 0.2011 0.8799
Pd: 0.0432 0.2664 0.6441
Rh: 0.0000 0.0000 0.0000

=====

No. 2
Starting from a cell relaxed with PBE, the XRD peak list of Er4Pd2Rh was simulated for Cu Ka.
Intensities are scaled so that the largest is 100.

The 8 most intense peaks (5 to 70 degrees two-theta), sorted by position:
(0 0 3), d 7.977, 11.09°, I 8; (1 0 4), d 3.433, 25.96°, I 29; (0 1 8), d 2.435, 36.92°, I 100; (1 1 0), d 2.420, 37.15°, I 99; (2 0 8), d 1.716, 53.38°, I 35; (1 0 16), d 1.409, 66.36°, I 18; (1 2 8), d 1.400, 66.82°, I 35; (3 0 0), d 1.397, 66.98°, I 17

Structural model:
a = 4.8398 Å, b = 4.8398 Å, c = 23.9321 Å
α = 90.00°, β = 90.00°, γ = 120.00°
Space group R-3m (No. 166, hexagonal axes)
One atom of each set of equivalent atoms:
Er: 0.0000 0.0000 0.1235
Er: 0.0000 0.0000 0.3740
Pd: 0.0000 0.0000 0.2498
Rh: 0.0000 0.0000 0.0000

=====

No. 3
Starting from a cell relaxed with PBE, the XRD peak list of ErSi2PdRh was simulated for Cu Ka.
Intensities are scaled so that the largest is 100.

The 8 most intense peaks (5 to 70 degrees two-theta), sorted by position:
(1 0 1), d 3.763, 23.64°, I 29; (1 0 3), d 2.584, 34.72°, I 29; (0 0 4), d 2.513, 35.72°, I 18; (1 1 2), d 2.492, 36.04°, I 100; (2 0 0), d 2.029, 44.66°, I 35; (2 1 3), d 1.596, 57.77°, I 13; (2 0 4), d 1.579, 58.46°, I 17; (1 1 6), d 1.447, 64.39°, I 16

Structural model:
a = 4.0583 Å, b = 4.0583 Å, c = 10.0537 Å
α = 90.00°, β = 90.00°, γ = 90.00°
Space group I-4m2 (No. 119)
One atom of each set of equivalent atoms:
Er: 0.0000 0.0000 0.0000
Si: 0.0000 0.0000 0.3844
Pd: 0.0000 0.5000 0.2500
Rh: 0.0000 0.5000 0.7500

=====

No. 4
Starting from a cell relaxed with PBE, the XRD peak list of ErThPdRu was simulated for Cu Ka.
Intensities are scaled so that the largest is 100.

The 8 most intense peaks (5 to 70 degrees two-theta), sorted by position:
(1 1 1), d 4.063, 21.88°, I 2; (2 0 0), d 3.518, 25.31°, I 10; (2 2 0), d 2.488, 36.10°, I 100; (3 1 1), d 2.122, 42.61°, I 1; (2 2 2), d 2.031, 44.61°, I 3; (4 0 0), d 1.759, 51.98°, I 18; (4 2 0), d 1.573, 58.67°, I 5; (4 2 2), d 1.436, 64.92°, I 36

Structural model:
a = 7.0369 Å, b = 7.0369 Å, c = 7.0369 Å
α = 90.00°, β = 90.00°, γ = 90.00°
Space group F-43m (No. 216)
One atom of each set of equivalent atoms:
Er: 0.0000 0.0000 0.0000
Th: 0.0000 0.0000 0.5000
Pd: 0.2500 0.2500 0.7500
Ru: 0.2500 0.2500 0.2500

=====

No. 5
Starting from a cell relaxed with PBE, the XRD peak list of YErPdRu was simulated for Cu Ka.
Intensities are scaled so that the largest is 100.

The 7 most intense peaks (5 to 70 degrees two-theta), sorted by position:
(1 1 1), d 3.970, 22.39°, I 6; (2 0 0), d 3.438, 25.91°, I 1; (2 2 0), d 2.431, 36.97°, I 100; (3 1 1), d 2.073, 43.66°, I 3; (4 0 0), d 1.719, 53.29°, I 17; (3 3 1), d 1.578, 58.51°, I 1; (4 2 2), d 1.404, 66.63°, I 35

Structural model:
a = 6.8764 Å, b = 6.8764 Å, c = 6.8764 Å
α = 90.00°, β = 90.00°, γ = 90.00°
Space group F-43m (No. 216)
One atom of each set of equivalent atoms:
Y: 0.0000 0.0000 0.0000
Er: 0.0000 0.0000 0.5000
Pd: 0.2500 0.2500 0.2500
Ru: 0.2500 0.2500 0.7500

=====

No. 6
Starting from a cell relaxed with PBE, the XRD peak list of ErSbPd3 was simulated for Cu Ka.
Intensities are scaled so that the largest is 100.

The 8 most intense peaks (5 to 70 degrees two-theta), sorted by position:
(1 0 1), d 4.978, 17.82°, I 45; (0 0 4), d 4.522, 19.63°, I 37; (1 0 3), d 3.928, 22.64°, I 33; (1 1 4), d 2.845, 31.44°, I 43; (2 0 0), d 2.589, 34.65°, I 58; (2 0 2), d 2.489, 36.09°, I 36; (2 1 3), d 2.162, 41.79°, I 100; (2 1 5), d 1.950, 46.57°, I 40

Structural model:
a = 5.1778 Å, b = 5.1778 Å, c = 18.0869 Å
α = 90.00°, β = 90.00°, γ = 90.00°
Space group I-4m2 (No. 119)
One atom of each set of equivalent atoms:
Er: 0.0000 0.0000 0.1261
Sb: 0.0000 0.0000 0.5000
Sb: 0.0000 0.5000 0.7500
Pd: 0.0000 0.2470 0.6254
Pd: 0.0000 0.5000 0.0464

=====

No. 7
Starting from a cell relaxed with PBE, the XRD peak list of ErSb2Pd7 was simulated for Cu Ka.
Intensities are scaled so that the largest is 100.

The 8 most intense peaks (5 to 70 degrees two-theta), sorted by position:
(0 0 2), d 11.070, 7.99°, I 7; (1 0 3), d 3.595, 24.77°, I 23; (1 1 4), d 2.576, 34.82°, I 7; (1 1 6), d 2.285, 39.43°, I 100; (2 0 0), d 2.058, 43.99°, I 39; (0 0 12), d 1.845, 49.40°, I 11; (2 2 0), d 1.455, 63.97°, I 12; (2 0 12), d 1.374, 68.27°, I 16

Structural model:
a = 4.1164 Å, b = 4.1164 Å, c = 22.1395 Å
α = 90.00°, β = 90.00°, γ = 90.00°
Space group I4/mmm (No. 139)
One atom of each set of equivalent atoms:
Er: 0.0000 0.0000 0.0000
Sb: 0.0000 0.0000 0.3299
Pd: 0.0000 0.0000 0.5000
Pd: 0.0000 0.5000 0.0930
Pd: 0.0000 0.5000 0.2500

=====

No. 8
Starting from a cell relaxed with PBE, the XRD peak list of Er4SbPd2 was simulated for Cu Ka.
Intensities are scaled so that the largest is 100.

The 8 most intense peaks (5 to 70 degrees two-theta), sorted by position:
(2 0 0), d 3.270, 27.27°, I 61; (0 2 -2), d 3.192, 27.95°, I 83; (1 -1 2), d 2.952, 30.27°, I 86; (-1 1 2), d 2.877, 31.08°, I 68; (-1 2 1), d 2.865, 31.22°, I 64; (-2 1 2), d 2.748, 32.58°, I 77; (-2 2 1), d 2.734, 32.75°, I 74; (2 1 0), d 2.538, 35.36°, I 100

Structural model:
a = 7.5157 Å, b = 7.7437 Å, c = 7.8195 Å
α = 110.28°, β = 106.83°, γ = 105.87°
Space group P1 (No. 1)
One atom of each set of equivalent atoms:
Er: 0.0000 0.0000 0.0000
Er: 0.0013 0.8711 0.4201
Er: 0.1476 0.5970 0.0140
Er: 0.1556 0.4244 0.5408
Er: 0.5629 0.9989 0.1038
Er: 0.5839 0.5263 0.9352
Er: 0.7199 0.5399 0.5320
Er: 0.7344 0.1177 0.6631
Sb: 0.3644 0.1387 0.3974
Sb: 0.8646 0.3809 0.1556
Pd: 0.1639 0.8008 0.7646
Pd: 0.1682 0.2170 0.7953
Pd: 0.5519 0.7731 0.7293
Pd: 0.5664 0.7484 0.3130